# 1
# MnZnNiP2O9
Calculated powder X-ray diffraction pattern, a wavelength of 1.5418 Å. Input: DFT lattice parameters and positions (PBE+U).

Cell lengths 14.303, 6.184, 7.253 Å; angles 90.00, 90.00, 90.00 degrees
Space group Pnma (No. 62)
Symmetry-distinct sites (fractional):
Mn: 0.119 0.250 0.148 x4
Zn: 0.216 0.250 0.620 x4
Ni: 0.000 0.000 0.500 x4
P: 0.067 0.750 0.139 x4
P: 0.200 0.750 0.606 x4
O: 0.006 0.250 0.011 x4
O: 0.020 0.750 0.329 x4
O: 0.053 0.250 0.356 x4
O: 0.137 0.559 0.122 x8
O: 0.142 0.538 0.609 x8
O: 0.227 0.250 0.944 x4
O: 0.235 0.250 0.283 x4

Main lines, in order of rising 2θ (2θ from 10° to 90°):
d = 6.469 Å, intensity 21, (1 0 1); d = 5.093 Å, intensity 20, (2 0 1); d = 3.515 Å, intensity 100, (1 0 2); d = 3.207 Å, intensity 28, (4 0 1); d = 3.093 Å, intensity 32, (0 2 0); d = 2.838 Å, intensity 20, (2 2 0); d = 2.790 Å, intensity 30, (1 2 1); d = 2.661 Å, intensity 37, (5 0 1); d = 2.443 Å, intensity 27, (3 2 1); d = 1.585 Å, intensity 24, (5 2 3)

# 2
# Mn2Ni6Te3PbO18
Calculated powder X-ray diffraction pattern, a wavelength of 1.5418 Å. Input: DFT lattice parameters and positions (PBE+U).

Cell lengths 9.4106, 9.4106, 8.9309 Å; angles 90.00, 90.00, 120.00 degrees
Space group P6_3/m (No. 176)
Symmetry-distinct sites (fractional):
Mn: 0.3333 0.6667 0.0605 x4
Ni: 0.0114 0.6513 0.0886 x12
Te: 0.0261 0.6635 0.7500 x6
Pb: 0.0000 0.0000 0.0000 x2
O: 0.0992 0.3042 0.0912 x12
O: 0.1058 0.2936 0.7500 x6
O: 0.1293 0.6066 0.5869 x12
O: 0.1328 0.5805 0.2500 x6

Main lines, in order of rising 2θ (2θ from 10° to 90°):
d = 4.163 Å, intensity 16, (1 1 1); d = 4.075 Å, intensity 18, (2 0 0); d = 3.916 Å, intensity 16, (1 0 2); d = 3.239 Å, intensity 52, (1 1 2); d = 2.717 Å, intensity 100, (3 0 0); d = 2.516 Å, intensity 57, (1 1 3); d = 2.081 Å, intensity 14, (2 2 2); d = 1.846 Å, intensity 30, (2 2 3); d = 1.568 Å, intensity 18, (3 3 0); d = 1.527 Å, intensity 27, (4 1 3)

# 3
# Pr2MnNiO6
Calculated powder X-ray diffraction pattern, a wavelength of 1.5418 Å. Input: DFT lattice parameters and positions (PBE+U).

Cell lengths 5.475, 5.588, 9.514 Å; angles 90.00, 125.12, 90.00 degrees
Space group P2_1/c (No. 14)
Symmetry-distinct sites (fractional):
Pr: 0.240 0.050 0.250 x4
Mn: 0.000 0.000 0.500 x2
Ni: 0.500 0.000 0.000 x2
O: 0.157 0.217 0.957 x4
O: 0.241 0.702 0.958 x4
O: 0.322 0.018 0.742 x4

Main lines, in order of rising 2θ (2θ from 10° to 90°):
d = 3.911 Å, intensity 13, (1 1 -1); d = 2.794 Å, intensity 21, (0 2 0); d = 2.758 Å, intensity 100, (1 1 1); d = 2.738 Å, intensity 25, (2 0 -2); d = 1.955 Å, intensity 24, (2 2 -2); d = 1.945 Å, intensity 15, (0 0 4); d = 1.720 Å, intensity 11, (1 3 -2); d = 1.606 Å, intensity 11, (1 3 -3); d = 1.585 Å, intensity 33, (2 0 2); d = 1.379 Å, intensity 13, (2 2 -6)

# 4
# Tb2MnNiO6
Calculated powder X-ray diffraction pattern, a wavelength of 1.5418 Å. Input: DFT lattice parameters and positions (PBE+U).

Cell lengths 5.294, 5.606, 9.232 Å; angles 90.00, 124.62, 90.00 degrees
Space group P2_1/c (No. 14)
Symmetry-distinct sites (fractional):
Tb: 0.230 0.070 0.249 x4
Mn: 0.500 0.000 0.000 x2
Ni: 0.000 0.000 0.500 x2
O: 0.151 0.189 0.948 x4
O: 0.259 0.708 0.944 x4
O: 0.363 0.034 0.757 x4

Main lines, in order of rising 2θ (2θ from 10° to 90°):
d = 3.849 Å, intensity 34, (1 1 -1); d = 3.433 Å, intensity 46, (1 1 0); d = 2.803 Å, intensity 35, (0 2 0); d = 2.710 Å, intensity 100, (1 1 1); d = 2.697 Å, intensity 99, (1 1 -3); d = 2.647 Å, intensity 50, (2 0 -2); d = 2.630 Å, intensity 31, (0 2 1); d = 1.924 Å, intensity 34, (2 2 -2); d = 1.899 Å, intensity 29, (0 0 4); d = 1.716 Å, intensity 38, (1 3 0)

# 5
# Mn3Ni3Te2O16
Calculated powder X-ray diffraction pattern, a wavelength of 1.5418 Å. Input: DFT lattice parameters and positions (PBE+U).

Cell lengths 10.228, 5.812, 9.191 Å; angles 90.00, 91.96, 90.00 degrees
Space group Cm (No. 8)
Symmetry-distinct sites (fractional):
Mn: 0.000 0.000 0.000 x2
Mn: 0.083 0.252 0.502 x4
Ni: 0.252 0.252 0.003 x4
Ni: 0.338 0.000 0.503 x2
Te: 0.332 0.500 0.728 x2
Te: 0.497 0.000 0.223 x2
O: 0.012 0.500 0.605 x2
O: 0.079 0.256 0.117 x4
O: 0.149 0.500 0.377 x2
O: 0.161 0.000 0.408 x2
O: 0.164 0.000 0.911 x2
O: 0.189 0.500 0.869 x2
O: 0.251 0.255 0.618 x4
O: 0.331 0.000 0.121 x2
O: 0.340 0.500 0.099 x2
O: 0.418 0.282 0.867 x4
O: 0.435 0.228 0.367 x4
O: 0.497 0.500 0.612 x2

Main lines, in order of rising 2θ (2θ from 10° to 90°):
d = 4.532 Å, intensity 34, (2 0 -1); d = 4.459 Å, intensity 68, (1 1 -1); d = 4.398 Å, intensity 100, (2 0 1); d = 3.427 Å, intensity 25, (1 1 -2); d = 3.366 Å, intensity 28, (2 0 2); d = 2.510 Å, intensity 29, (3 1 -2); d = 2.456 Å, intensity 28, (0 2 2); d = 2.444 Å, intensity 62, (3 1 2); d = 1.932 Å, intensity 24, (2 2 3); d = 1.469 Å, intensity 38, (6 2 0)

# 6
# Ti2MnNiO6
Calculated powder X-ray diffraction pattern, a wavelength of 1.5418 Å. Input: DFT lattice parameters and positions (PBE+U).

Cell lengths 5.1334, 5.1334, 14.1930 Å; angles 90.00, 90.00, 120.00 degrees
Space group R3 (No. 146, hexagonal axes)
Symmetry-distinct sites (fractional):
Ti: 0.0000 0.0000 0.0000 x3
Ti: 0.0000 0.0000 0.2895 x3
Mn: 0.0000 0.0000 0.5010 x3
Ni: 0.0000 0.0000 0.7924 x3
O: 0.0168 0.6335 0.5639 x9
O: 0.0293 0.3481 0.0547 x9

Main lines, in order of rising 2θ (2θ from 10° to 90°):
d = 3.767 Å, intensity 32, (0 1 2); d = 2.773 Å, intensity 100, (1 0 4); d = 2.567 Å, intensity 71, (1 1 0); d = 2.256 Å, intensity 24, (1 1 3); d = 1.884 Å, intensity 39, (0 2 4); d = 1.739 Å, intensity 52, (2 -1 6); d = 1.519 Å, intensity 33, (3 -1 4); d = 1.482 Å, intensity 33, (3 0 0); d = 1.352 Å, intensity 13, (1 0 10); d = 1.165 Å, intensity 10, (1 3 4)

# 7
# MnV4NiO12
Calculated powder X-ray diffraction pattern, a wavelength of 1.5418 Å. Input: DFT lattice parameters and positions (PBE+U).

Cell lengths 10.147, 9.143, 5.864 Å; angles 90.00, 111.01, 90.00 degrees
Space group C2 (No. 5)
Symmetry-distinct sites (fractional):
Mn: 0.000 0.000 0.000 x2
V: 0.202 0.493 0.484 x4
V: 0.204 0.677 0.989 x4
Ni: 0.000 0.172 0.500 x2
O: 0.115 0.167 0.882 x4
O: 0.118 0.004 0.402 x4
O: 0.136 0.584 0.193 x4
O: 0.142 0.588 0.696 x4
O: 0.143 0.320 0.459 x4
O: 0.148 0.851 0.959 x4

Main lines, in order of rising 2θ (2θ from 10° to 90°):
d = 6.579 Å, intensity 23, (1 1 0); d = 4.842 Å, intensity 38, (1 1 -1); d = 4.572 Å, intensity 46, (0 2 0); d = 3.772 Å, intensity 28, (1 1 1); d = 3.192 Å, intensity 100, (2 2 -1); d = 2.985 Å, intensity 61, (3 1 0); d = 2.737 Å, intensity 43, (0 0 2); d = 2.553 Å, intensity 26, (2 2 1); d = 2.034 Å, intensity 23, (2 4 -1); d = 1.797 Å, intensity 22, (2 2 -3)

# 8
# Y2MnNiO6
Calculated powder X-ray diffraction pattern, a wavelength of 1.5418 Å. Input: DFT lattice parameters and positions (PBE+U).

Cell lengths 5.280, 5.600, 9.206 Å; angles 90.00, 124.59, 90.00 degrees
Space group P2_1/c (No. 14)
Symmetry-distinct sites (fractional):
Y: 0.230 0.071 0.249 x4
Mn: 0.500 0.000 0.000 x2
Ni: 0.000 0.000 0.500 x2
O: 0.149 0.188 0.947 x4
O: 0.259 0.707 0.942 x4
O: 0.366 0.037 0.758 x4

Main lines, in order of rising 2θ (2θ from 10° to 90°):
d = 2.800 Å, intensity 39, (0 2 0); d = 2.705 Å, intensity 100, (1 1 1); d = 2.691 Å, intensity 99, (1 1 -3); d = 2.640 Å, intensity 47, (2 0 -2); d = 2.626 Å, intensity 18, (0 2 1); d = 1.921 Å, intensity 41, (2 2 -2); d = 1.895 Å, intensity 31, (0 0 4); d = 1.569 Å, intensity 18, (0 2 4); d = 1.539 Å, intensity 24, (3 1 -1); d = 1.531 Å, intensity 22, (3 1 -5)

What is the formula in the seventh record?
MnV4NiO12